Diffraction record for Y4Mn3NiO12. The X-ray powder pattern is calculated, not measured: it uses a cell relaxed with GGA+U and λ = 1.5418 Å (Cu Kα).
No peak broadening, texture or thermal motion is included.

Most intense lines, 10° ≤ 2θ ≤ 80°, sorted by position:
index	d [Å]	2theta	intensity
1 1 -1	3.455	25.79	39.5
0 2 0	2.837	31.53	75.0
1 1 2	2.740	32.69	95.4
1 -1 2	2.724	32.88	100.0
1 1 -2	2.715	32.99	95.2
-1 1 2	2.701	33.16	92.3
2 0 0	2.650	33.82	88.0
2 2 0	1.948	46.64	38.0
0 0 4	1.910	47.61	60.4
3 1 -2	1.541	60.04	52.7

Structure:
a = 5.301 Å, b = 5.675 Å, c = 7.640 Å
α = 89.97°, β = 89.33°, γ = 89.37°
Space group P-1 (No. 2)
Asymmetric unit:
Y  0.019  0.429  0.249
Y  0.479  0.923  0.245
Mn  0.000  0.000  0.000
Mn  0.000  0.000  0.500
Mn  0.500  0.500  0.500
Ni  0.500  0.500  0.000
O  0.115  0.959  0.759
O  0.183  0.707  0.059
O  0.196  0.688  0.445
O  0.295  0.181  0.440
O  0.297  0.187  0.053
O  0.391  0.464  0.744